(1)
ErPuAsO2: calculated powder diffractogram (Cu Kα (weighted mean of Kα1 and Kα2)), based on a DFT-relaxed cell (PBE, Alexandria).
Peak positions follow from Bragg's law for the DFT cell and can differ from measured ones.

Largest 6 diffraction maxima, by angle, 10 to 80 degrees two-theta:
2theta  Rel. int.
24.6  24
32.2  100
33.5  41
48.1  20
56.5  19
59.1  36

Structural model:
Cell: 3.781 3.781 12.327 Å, 90.00 90.00 90.00°
Sites, in units of the cell vectors:
Er 0.000 0.000 0.000
Er 0.500 0.500 0.500
Pu 0.000 0.000 0.696
Pu 0.500 0.500 0.196
As 0.000 0.000 0.344
As 0.500 0.500 0.844
O 0.000 0.500 0.094
O 0.000 0.500 0.594
O 0.500 0.000 0.094
O 0.500 0.000 0.594

(2)
NbBr6O2: calculated powder diffractogram (Cu Kα (weighted mean of Kα1 and Kα2)), based on a DFT-relaxed cell (PBE, Alexandria).
Peak positions follow from Bragg's law for the DFT cell and can differ from measured ones.

Largest 6 diffraction maxima, by angle, 10 to 80 degrees two-theta:
2theta  Rel. int.
14.7  79
17.0  80
23.4  100
27.6  57
43.8  26
47.8  24

Structural model:
Cell: 7.613 9.845 10.410 Å, 90.00 90.00 90.00°
Sites, in units of the cell vectors:
Nb 0.000 0.152 0.000
Nb 0.500 0.848 0.500
Br 0.000 0.143 0.244
Br 0.000 0.150 0.765
Br 0.000 0.365 0.439
Br 0.000 0.401 0.012
Br 0.000 0.515 0.616
Br 0.000 0.901 0.008
Br 0.500 0.099 0.508
Br 0.500 0.485 0.116
Br 0.500 0.599 0.512
Br 0.500 0.635 0.939
Br 0.500 0.850 0.265
Br 0.500 0.857 0.744
O 0.000 0.706 0.295
O 0.000 0.782 0.389
O 0.500 0.218 0.889
O 0.500 0.294 0.795

(3)
Na8B9C7: calculated powder diffractogram (Cu Kα (weighted mean of Kα1 and Kα2)), based on a DFT-relaxed cell (PBE, Alexandria).
Peak positions follow from Bragg's law for the DFT cell and can differ from measured ones.

Largest 6 diffraction maxima, by angle, 10 to 80 degrees two-theta:
2theta  Rel. int.
36.2  7
36.7  12
42.2  36
42.6  100
65.4  12
78.1  10

Structural model:
Cell: 2.814 9.826 9.826 Å, 119.25 90.00 90.00°
Sites, in units of the cell vectors:
Na 0.000 0.125 0.875
Na 0.000 0.371 0.623
Na 0.000 0.623 0.371
Na 0.000 0.875 0.125
Na 0.500 0.123 0.373
Na 0.500 0.373 0.123
Na 0.500 0.621 0.875
Na 0.500 0.875 0.621
B 0.000 0.335 0.335
B 0.000 0.414 0.914
B 0.000 0.810 0.810
B 0.000 0.914 0.414
B 0.500 0.094 0.094
B 0.500 0.165 0.663
B 0.500 0.574 0.574
B 0.500 0.663 0.165
B 0.500 0.923 0.923
C 0.000 0.082 0.580
C 0.000 0.174 0.174
C 0.000 0.580 0.082
C 0.000 0.656 0.656
C 0.500 0.331 0.830
C 0.500 0.415 0.415
C 0.500 0.830 0.331

(4)
Sm3Y2Tl2: calculated powder diffractogram (Cu Kα (weighted mean of Kα1 and Kα2)), based on a DFT-relaxed cell (PBE, Alexandria).
Peak positions follow from Bragg's law for the DFT cell and can differ from measured ones.

Largest 6 diffraction maxima, by angle, 10 to 80 degrees two-theta:
2theta  Rel. int.
31.2  100
31.6  94
33.8  41
36.0  33
50.2  27
61.8  42

Structural model:
Cell: 4.992 24.022 3.544 Å, 90.00 90.00 90.00°
Sites, in units of the cell vectors:
Sm 0.000 0.000 0.000
Sm 0.000 0.143 0.000
Sm 0.000 0.857 0.000
Sm 0.500 0.357 0.000
Sm 0.500 0.500 0.000
Sm 0.500 0.643 0.000
Y 0.000 0.287 0.500
Y 0.000 0.713 0.500
Y 0.500 0.213 0.500
Y 0.500 0.787 0.500
Tl 0.000 0.427 0.500
Tl 0.000 0.573 0.500
Tl 0.500 0.073 0.500
Tl 0.500 0.927 0.500

(5)
CaLa2BeO5: calculated powder diffractogram (Cu Kα (weighted mean of Kα1 and Kα2)), based on a DFT-relaxed cell (PBE, Alexandria).
Peak positions follow from Bragg's law for the DFT cell and can differ from measured ones.

Largest 6 diffraction maxima, by angle, 10 to 80 degrees two-theta:
2theta  Rel. int.
20.3  50
29.4  99
30.7  69
30.8  100
31.0  63
37.8  41

Structural model:
Cell: 9.668 6.636 7.305 Å, 90.00 90.00 90.00°
Sites, in units of the cell vectors:
Ca 0.179 0.077 0.000
Ca 0.321 0.577 0.500
Ca 0.679 0.423 0.000
Ca 0.821 0.923 0.500
La 0.023 0.597 0.765
La 0.171 0.072 0.548
La 0.329 0.572 0.048
La 0.477 0.097 0.265
La 0.523 0.903 0.765
La 0.671 0.428 0.548
La 0.829 0.928 0.048
La 0.977 0.403 0.265
Be 0.105 0.806 0.267
Be 0.395 0.306 0.767
Be 0.605 0.694 0.267
Be 0.895 0.194 0.767
O 0.013 0.016 0.269
O 0.071 0.689 0.078
O 0.076 0.692 0.460
O 0.224 0.360 0.766
O 0.227 0.336 0.265
O 0.273 0.836 0.765
O 0.276 0.860 0.266
O 0.424 0.192 0.960
O 0.429 0.189 0.578
O 0.487 0.516 0.769
O 0.513 0.484 0.269
O 0.571 0.811 0.078
O 0.576 0.808 0.460
O 0.724 0.140 0.766
O 0.727 0.164 0.265
O 0.773 0.664 0.765
O 0.776 0.640 0.266
O 0.924 0.308 0.960
O 0.929 0.311 0.578
O 0.987 0.984 0.769

(6)
YCd2CuS: calculated powder diffractogram (Cu Kα (weighted mean of Kα1 and Kα2)), based on a DFT-relaxed cell (PBE, Alexandria).
Peak positions follow from Bragg's law for the DFT cell and can differ from measured ones.

Largest 6 diffraction maxima, by angle, 10 to 80 degrees two-theta:
2theta  Rel. int.
17.7  43
27.1  77
29.0  100
34.2  34
41.4  37
46.8  51

Structural model:
Cell: 6.165 6.165 5.004 Å, 90.00 90.00 90.00°
Sites, in units of the cell vectors:
Y 0.000 0.000 0.000
Cd 0.000 0.500 0.000
Cd 0.500 0.000 0.000
Cu 0.500 0.500 0.500
S 0.000 0.000 0.500

(7)
ZrInI: calculated powder diffractogram (Cu Kα (weighted mean of Kα1 and Kα2)), based on a DFT-relaxed cell (PBE, Alexandria).
Peak positions follow from Bragg's law for the DFT cell and can differ from measured ones.

Largest 6 diffraction maxima, by angle, 10 to 80 degrees two-theta:
2theta  Rel. int.
26.7  28
32.1  66
35.3  100
37.0  55
50.5  39
64.3  24

Structural model:
Cell: 3.617 3.612 13.267 Å, 90.00 97.60 90.00°
Sites, in units of the cell vectors:
Zr 0.000 0.000 0.000
Zr 0.300 0.500 0.588
In 0.436 0.500 0.867
In 0.870 0.000 0.731
I 0.081 0.500 0.170
I 0.737 0.000 0.456

(8)
H5PtRh: calculated powder diffractogram (Cu Kα (weighted mean of Kα1 and Kα2)), based on a DFT-relaxed cell (PBE, Alexandria).
Peak positions follow from Bragg's law for the DFT cell and can differ from measured ones.

Largest 6 diffraction maxima, by angle, 10 to 80 degrees two-theta:
2theta  Rel. int.
22.3  65
25.7  100
35.7  72
35.8  53
39.3  48
42.3  48

Structural model:
Cell: 2.782 5.265 8.300 Å, 99.03 90.43 105.24°
Sites, in units of the cell vectors:
H 0.007 0.005 0.196
H 0.135 0.248 0.446
H 0.298 0.609 0.731
H 0.338 0.664 0.273
H 0.338 0.677 0.001
H 0.662 0.323 0.999
H 0.662 0.336 0.727
H 0.702 0.391 0.269
H 0.865 0.752 0.554
H 0.993 0.995 0.804
Pt 0.445 0.906 0.662
Pt 0.555 0.094 0.338
Rh 0.180 0.366 0.860
Rh 0.820 0.634 0.140

(9)
CuH6Ir: calculated powder diffractogram (Cu Kα (weighted mean of Kα1 and Kα2)), based on a DFT-relaxed cell (PBE, Alexandria).
Peak positions follow from Bragg's law for the DFT cell and can differ from measured ones.

Largest 6 diffraction maxima, by angle, 10 to 80 degrees two-theta:
2theta  Rel. int.
18.9  100
20.0  37
31.6  56
40.6  28
42.0  24
48.3  34

Structural model:
Cell: 5.847 9.391 2.966 Å, 90.00 120.37 90.00°
Sites, in units of the cell vectors:
Cu 0.000 0.000 0.000
Cu 0.500 0.500 0.000
H 0.206 0.359 0.706
H 0.206 0.641 0.706
H 0.207 0.500 0.207
H 0.293 0.000 0.793
H 0.294 0.141 0.294
H 0.294 0.859 0.294
H 0.706 0.141 0.706
H 0.706 0.859 0.706
H 0.707 0.000 0.207
H 0.793 0.500 0.793
H 0.794 0.359 0.294
H 0.794 0.641 0.294
Ir 0.000 0.500 0.500
Ir 0.500 0.000 0.500

(10)
Ca2Re3: calculated powder diffractogram (Cu Kα (weighted mean of Kα1 and Kα2)), based on a DFT-relaxed cell (PBE, Alexandria).
Peak positions follow from Bragg's law for the DFT cell and can differ from measured ones.

Largest 6 diffraction maxima, by angle, 10 to 80 degrees two-theta:
2theta  Rel. int.
14.1  100
35.8  37
36.2  80
38.4  63
41.8  85
46.1  38

Structural model:
Cell: 2.919 2.919 12.535 Å, 90.00 90.00 120.00°
Sites, in units of the cell vectors:
Ca 0.333 0.667 0.294
Ca 0.667 0.333 0.706
Re 0.000 0.000 0.500
Re 0.333 0.667 0.920
Re 0.667 0.333 0.080

(11)
In2Hg4AsBr5: calculated powder diffractogram (Cu Kα (weighted mean of Kα1 and Kα2)), based on a DFT-relaxed cell (PBE, Alexandria).
Peak positions follow from Bragg's law for the DFT cell and can differ from measured ones.

Largest 6 diffraction maxima, by angle, 10 to 80 degrees two-theta:
2theta  Rel. int.
23.4  73
24.3  100
30.4  50
38.9  49
40.2  47
42.3  49

Structural model:
Cell: 9.248 7.709 7.709 Å, 128.73 90.00 90.00°
Sites, in units of the cell vectors:
In 0.000 0.189 0.811
In 0.000 0.811 0.189
Hg 0.308 0.426 0.426
Hg 0.500 0.346 0.950
Hg 0.500 0.950 0.346
Hg 0.692 0.426 0.426
As 0.500 0.145 0.145
Br 0.000 0.254 0.254
Br 0.252 0.552 0.844
Br 0.252 0.844 0.552
Br 0.748 0.552 0.844
Br 0.748 0.844 0.552